Record 1
The following is a computed PXRD pattern of Tl3Cd. It was derived from DFT lattice parameters and positions (GGA-PBE), using Cu Kα (λ = 1.5418 Å).

Most intense lines, 15° ≤ 2θ ≤ 90°, in order of rising 2θ:
30.1°, d 2.968, intensity 30
31.9°, d 2.806, intensity 100
32.2°, d 2.782, intensity 94
32.4°, d 2.766, intensity 56
33.6°, d 2.665, intensity 35
36.2°, d 2.481, intensity 31
37.9°, d 2.372, intensity 20
49.3°, d 1.847, intensity 22
57.1°, d 1.613, intensity 20
62.5°, d 1.486, intensity 46

Atomic structure:
```
Tl3Cd
1.0
1.7582 -6.7199 0.0000
1.7582 6.7199 0.0000
0.0000 0.0000 9.9237
Tl Cd
6 2
Direct
0.0319 0.9681 0.7500 Tl
0.3705 0.6295 0.5336 Tl
0.3705 0.6295 0.9664 Tl
0.6295 0.3705 0.0336 Tl
0.6295 0.3705 0.4664 Tl
0.9681 0.0319 0.2500 Tl
0.2537 0.7463 0.2500 Cd
0.7463 0.2537 0.7500 Cd
```

---

Record 2
The following is a computed PXRD pattern of TlCd4. It was derived from DFT lattice parameters and positions (GGA-PBE), using Cu Kα (λ = 1.5418 Å).

Most intense lines, 15° ≤ 2θ ≤ 90°, in order of rising 2θ:
24.7°, d 3.605, intensity 22
30.4°, d 2.943, intensity 80
32.9°, d 2.725, intensity 63
35.2°, d 2.549, intensity 18
37.4°, d 2.403, intensity 100
45.4°, d 2.000, intensity 17
50.6°, d 1.802, intensity 19
55.6°, d 1.654, intensity 42
64.6°, d 1.442, intensity 22
75.8°, d 1.255, intensity 16

Atomic structure:
```
TlCd4
1.0
-5.0981 5.0981 5.0981
5.0981 -5.0981 5.0981
5.0981 5.0981 -5.0981
Tl Cd
4 16
Direct
0.0000 0.0000 0.5748 Tl
0.0000 0.5748 0.0000 Tl
0.4252 0.4252 0.4252 Tl
0.5748 0.0000 0.0000 Tl
0.0000 0.0000 0.2212 Cd
0.0000 0.2212 0.0000 Cd
0.0000 0.3490 0.3490 Cd
0.0000 0.6510 0.6510 Cd
0.2212 0.0000 0.0000 Cd
0.2500 0.5000 0.7500 Cd
0.2500 0.7500 0.5000 Cd
0.3490 0.0000 0.3490 Cd
0.3490 0.3490 0.0000 Cd
0.5000 0.2500 0.7500 Cd
0.5000 0.7500 0.2500 Cd
0.6510 0.0000 0.6510 Cd
0.6510 0.6510 0.0000 Cd
0.7500 0.2500 0.5000 Cd
0.7500 0.5000 0.2500 Cd
0.7788 0.7788 0.7788 Cd
```

---

Record 3
The following is a computed PXRD pattern of Tl8Cd3. It was derived from DFT lattice parameters and positions (GGA-PBE), using Cu Kα (λ = 1.5418 Å).

Most intense lines, 15° ≤ 2θ ≤ 90°, in order of rising 2θ:
30.9°, d 2.896, intensity 56
31.3°, d 2.859, intensity 66
33.6°, d 2.666, intensity 100
33.8°, d 2.652, intensity 97
44.2°, d 2.047, intensity 20
44.8°, d 2.022, intensity 19
56.9°, d 1.617, intensity 19
57.1°, d 1.614, intensity 20
57.4°, d 1.605, intensity 20
62.0°, d 1.496, intensity 19

Atomic structure:
```
Tl8Cd3
1.0
6.3786 -1.7563 0.0000
6.3786 1.7563 0.0000
-3.8674 0.0000 14.2801
Tl Cd
8 3
Direct
0.0412 0.0412 0.3241 Tl
0.1280 0.1280 0.9710 Tl
0.2166 0.2166 0.5914 Tl
0.3047 0.3047 0.2118 Tl
0.6953 0.6953 0.7882 Tl
0.7834 0.7834 0.4086 Tl
0.8720 0.8720 0.0290 Tl
0.9588 0.9588 0.6759 Tl
0.4209 0.4209 0.8506 Cd
0.5000 0.5000 0.5000 Cd
0.5791 0.5791 0.1494 Cd
```